[1]
Calculated PXRD pattern
Compound: Dy2Tc12P7
Radiation: Cu Kα X-rays
Structure: a DFT-relaxed cell (PBE, Alexandria)

Peak list (6 most intense, 2θ from 10° to 90°, most intense first)
d (Å)	2θ/deg	intensity
2.453	36.6	100.0
1.977	45.9	21.1
1.985	45.7	19.8
3.128	28.5	14.2
1.806	50.5	13.1
2.295	39.3	11.4

Atomic structure:
abc: 9.555 9.555 3.953
angles: 90.00 90.00 120.00
Fractional positions:
Dy 0.000 0.000 0.000
Dy 0.333 0.667 0.500
Tc 0.057 0.291 0.500
Tc 0.099 0.732 0.000
Tc 0.234 0.943 0.500
Tc 0.268 0.367 0.000
Tc 0.451 0.211 0.000
Tc 0.510 0.450 0.500
Tc 0.550 0.060 0.500
Tc 0.633 0.901 0.000
Tc 0.709 0.766 0.500
Tc 0.761 0.549 0.000
Tc 0.789 0.239 0.000
Tc 0.940 0.490 0.500
P 0.068 0.460 0.000
P 0.261 0.203 0.500
P 0.392 0.932 0.000
P 0.540 0.608 0.000
P 0.667 0.333 0.500
P 0.797 0.058 0.500
P 0.942 0.739 0.500


[2]
Calculated PXRD pattern
Compound: CsNbSeO5
Radiation: Cu Kα X-rays
Structure: a DFT-relaxed cell (PBE, Alexandria)

Peak list (6 most intense, 2θ from 10° to 90°, most intense first)
d (Å)	2θ/deg	intensity
2.980	30.0	100.0
3.583	24.8	95.6
3.512	25.4	86.6
2.921	30.6	47.9
1.930	47.1	33.1
2.771	32.3	26.2

Atomic structure:
abc: 6.202 6.202 7.665
angles: 101.24 101.24 104.86
Fractional positions:
Cs 0.153 0.847 0.750
Cs 0.847 0.153 0.250
Nb 0.500 0.500 0.000
Nb 0.500 0.500 0.500
Se 0.191 0.809 0.250
Se 0.809 0.191 0.750
O 0.171 0.328 0.942
O 0.209 0.613 0.379
O 0.328 0.171 0.442
O 0.387 0.791 0.121
O 0.447 0.553 0.750
O 0.553 0.447 0.250
O 0.613 0.209 0.879
O 0.672 0.829 0.558
O 0.791 0.387 0.621
O 0.829 0.672 0.058


[3]
Calculated PXRD pattern
Compound: TbPr4Sm2Er2
Radiation: Cu Kα X-rays
Structure: a DFT-relaxed cell (PBE, Alexandria)

Peak list (6 most intense, 2θ from 10° to 90°, most intense first)
d (Å)	2θ/deg	intensity
2.966	30.1	100.0
2.574	34.9	34.0
1.551	59.6	28.9
1.815	50.3	24.1
2.559	35.1	16.7
1.545	59.9	14.2

Atomic structure:
abc: 8.140 8.140 8.098
angles: 107.56 107.56 36.85
Fractional positions:
Tb 0.000 0.000 0.000
Pr 0.222 0.222 0.330
Pr 0.446 0.446 0.670
Pr 0.554 0.554 0.330
Pr 0.778 0.778 0.670
Sm 0.112 0.112 0.670
Sm 0.888 0.888 0.330
Er 0.333 0.333 0.000
Er 0.667 0.667 0.000